No. 1
This entry pairs a crystal structure of LaSnB6C6 with its simulated PXRD pattern. Radiation: Cu Kα (weighted mean of Kα1 and Kα2). Structure: a DFT-relaxed cell (GGA-PBE, Alexandria).
Peak positions follow from Bragg's law for the DFT cell and can differ from measured ones.

Structural model:
Cell: 4.9013 4.9013 4.9013 Å, 90.00 90.00 90.00°
Element x y z (fractional)
La 0.0000 0.0000 0.0000
Sn 0.5000 0.5000 0.5000
B 0.0000 0.5000 0.2545
B 0.0000 0.5000 0.7455
B 0.2545 0.0000 0.5000
B 0.5000 0.2545 0.0000
B 0.5000 0.7455 0.0000
B 0.7455 0.0000 0.5000
C 0.0000 0.2482 0.5000
C 0.0000 0.7518 0.5000
C 0.2482 0.5000 0.0000
C 0.5000 0.0000 0.2482
C 0.5000 0.0000 0.7518
C 0.7518 0.5000 0.0000

Top 10 peaks for 2θ from 15° to 90°, in order of rising 2θ:
d_spacing, two_theta, I/Imax
3.466, 25.70, 100
2.451, 36.67, 37
2.001, 45.32, 80
1.733, 52.83, 16
1.550, 59.65, 22
1.415, 66.03, 3
1.310, 72.10, 40
1.225, 77.98, 6
1.155, 83.72, 13
1.096, 89.40, 12

No. 2
This entry pairs a crystal structure of Nd3P4Pd4 with its simulated PXRD pattern. Radiation: Cu Kα (weighted mean of Kα1 and Kα2). Structure: a DFT-relaxed cell (GGA-PBE, Alexandria).
Peak positions follow from Bragg's law for the DFT cell and can differ from measured ones.

Structural model:
Cell: 8.0471 8.0471 8.0471 Å, 149.73 128.54 60.87°
Element x y z (fractional)
Nd 0.0000 0.0000 0.0000
Nd 0.3711 0.8711 0.5000
Nd 0.6289 0.1289 0.5000
P 0.2155 0.2155 0.0000
P 0.3154 0.5000 0.8154
P 0.6846 0.5000 0.1846
P 0.7845 0.7845 0.0000
Pd 0.0285 0.3314 0.6971
Pd 0.3657 0.6686 0.6971
Pd 0.6343 0.3314 0.3029
Pd 0.9715 0.6686 0.3029

Top 10 peaks for 2θ from 15° to 90°, in order of rising 2θ:
d_spacing, two_theta, I/Imax
3.114, 28.67, 27
2.637, 33.99, 100
2.579, 34.78, 27
2.498, 35.95, 84
2.323, 38.76, 37
2.314, 38.93, 32
2.101, 43.05, 39
2.080, 43.51, 44
1.554, 59.46, 24
1.478, 62.87, 29

No. 3
This entry pairs a crystal structure of LaInH6Rh3 with its simulated PXRD pattern. Radiation: Cu Kα (weighted mean of Kα1 and Kα2). Structure: a DFT-relaxed cell (GGA-PBE, Alexandria).
Peak positions follow from Bragg's law for the DFT cell and can differ from measured ones.

Structural model:
Cell: 5.0676 5.0676 5.0676 Å, 92.15 92.15 92.15°
Element x y z (fractional)
La 0.0000 0.0000 0.0000
In 0.4170 0.4170 0.4170
H 0.1226 0.5015 0.9247
H 0.5015 0.9247 0.1226
H 0.5306 0.9286 0.7680
H 0.7680 0.5306 0.9286
H 0.9247 0.1226 0.5015
H 0.9286 0.7680 0.5306
Rh 0.4474 0.6317 0.9267
Rh 0.6317 0.9267 0.4474
Rh 0.9267 0.4474 0.6317

Top 10 peaks for 2θ from 15° to 90°, in order of rising 2θ:
d_spacing, two_theta, I/Imax
3.650, 24.39, 100
2.960, 30.19, 39
2.814, 31.80, 62
2.530, 35.48, 84
2.299, 39.18, 72
2.229, 40.48, 42
2.107, 42.92, 35
2.079, 43.52, 95
1.379, 67.96, 50
1.239, 76.98, 27